Starting from a structure optimized by DFT (GGA-PBE), the X-ray powder pattern of Nb2Br5 was computed for CuKα.
Peak positions follow from Bragg's law for the DFT cell and can differ from measured ones.

Atomic structure:
abc: 11.3320 14.9330 6.0268
angles: 90.00 90.00 90.00
Space group Cmcm (No. 63)
Inequivalent atoms, fractional coordinates:
Nb 0.1722 0.0000 0.0000 x8
Br 0.0000 0.0882 0.2500 x4
Br 0.1637 0.4258 0.7500 x8
Br 0.1753 0.1475 0.7500 x8

Top 10 peaks for 10° ≤ 2θ ≤ 90°, in order of rising 2θ:
h k l	2θ/deg	I/Imax
0 2 0	11.85	100
2 0 0	15.64	27
0 4 1	28.12	32
3 1 1	28.52	39
3 3 1	33.28	38
0 4 2	38.40	45
3 1 2	38.70	26
3 3 2	42.45	30
6 0 0	48.18	13
3 7 0	49.04	22